No. 1
For NdHo4Er4, DFT lattice parameters and positions (GGA-PBE) gives the computed powder XRD pattern in this record (Cu Kα).
Lines closer than 0.1° are merged.

The 10 most intense peaks (10 to 90 degrees two-theta), in order of falling intensity:
2θ/deg, intensity, h k l
31.01, 100, 3 0 1
51.76, 36, 6 0 0
35.91, 34, 3 3 0
61.52, 29, 6 3 1
36.04, 17, 0 0 2
61.69, 14, 3 0 3
64.63, 12, 6 0 2
84.60, 12, 6 3 3
87.20, 11, 9 3 0
84.45, 6, 9 0 1

Structure:
```
data_NdHo4Er4
_chemical_formula_sum 'Nd2 Ho8 Er8'
_cell_length_a 10.609
_cell_length_b 10.609
_cell_length_c 4.984
_cell_angle_alpha 90.00
_cell_angle_beta 90.00
_cell_angle_gamma 90.00
_symmetry_space_group_name_H-M 'I 4/m m m'
_symmetry_Int_Tables_number 139
_symmetry_space_group_name_Hall '-I 4 2'
loop_
_atom_site_label
_atom_site_fract_x
_atom_site_fract_y
_atom_site_fract_z
_atom_site_occupancy
Nd1 0.000 0.000 0.000 1
Ho1 0.000 0.334 0.000 1
Er1 0.168 0.168 0.500 1
```

=====

No. 2
For TbNd2Dy2, DFT lattice parameters and positions (GGA-PBE) gives the computed powder XRD pattern in this record (Cu Kα).
Lines closer than 0.1° are merged.

The 10 most intense peaks (10 to 90 degrees two-theta), in order of falling intensity:
2θ/deg, intensity, h k l
31.12, 100, 0 2 0
29.55, 30, 0 1 9
33.60, 24, 1 1 6
60.09, 18, 2 2 0
31.37, 14, 1 0 7
55.40, 13, 1 3 4
34.58, 13, 0 1 11
27.89, 13, 0 0 10
44.79, 11, 1 2 7
49.98, 9, 2 0 0

Structure:
```
data_TbNd2Dy2
_chemical_formula_sum 'Tb4 Nd8 Dy8'
_cell_length_a 3.650
_cell_length_b 5.743
_cell_length_c 31.985
_cell_angle_alpha 90.00
_cell_angle_beta 90.00
_cell_angle_gamma 90.00
_symmetry_space_group_name_H-M 'I m m a'
_symmetry_Int_Tables_number 74
_symmetry_space_group_name_Hall '-I 2b 2'
loop_
_atom_site_label
_atom_site_fract_x
_atom_site_fract_y
_atom_site_fract_z
_atom_site_occupancy
Tb1 0.000 0.250 0.081 1
Nd1 0.000 0.250 0.523 1
Nd2 0.000 0.250 0.622 1
Dy1 0.000 0.250 0.303 1
Dy2 0.000 0.250 0.791 1
```